1.
This entry pairs a crystal structure of TlOsPt2 with its simulated powder diffractogram. Radiation: CuKα. Structure: DFT lattice parameters and positions (GGA-PBE).
Neutral-atom scattering factors, no anomalous dispersion.

Atomic structure:
```
TlOsPt2
1.0
2.835 0.000 0.000
0.000 4.622 0.000
0.000 0.000 5.209
Tl Os Pt
1 1 2
direct
0.000 0.000 0.000
0.000 0.500 0.640
0.500 0.000 0.516
0.500 0.500 0.197
```

Principal peaks in the range 2θ = 15–90°, by angle:
hkl 0 0 2, 34.4°, I = 14.2
hkl 1 0 1, 36.1°, I = 22.1
hkl 0 2 0, 39.0°, I = 38.7
hkl 0 1 2, 39.7°, I = 49.4
hkl 1 1 1, 41.2°, I = 100.0
hkl 1 2 1, 54.1°, I = 14.0
hkl 1 0 3, 62.8°, I = 16.7
hkl 1 3 1, 72.1°, I = 19.9
hkl 1 2 3, 76.4°, I = 19.1
hkl 2 1 2, 79.8°, I = 14.1

---

2.
This entry pairs a crystal structure of Tm6OsPt3 with its simulated powder diffractogram. Radiation: CuKα. Structure: DFT lattice parameters and positions (GGA-PBE).
Neutral-atom scattering factors, no anomalous dispersion.

Atomic structure:
```
Tm6OsPt3
1.0
8.149 0.000 0.000
0.000 11.826 0.000
0.000 0.000 4.796
Tm Os Pt
12 2 6
direct
0.000 0.247 0.000
0.000 0.753 0.000
0.153 0.410 0.500
0.175 0.076 0.500
0.325 0.576 0.000
0.347 0.910 0.000
0.500 0.253 0.500
0.500 0.747 0.500
0.653 0.090 0.000
0.675 0.424 0.000
0.825 0.924 0.500
0.847 0.590 0.500
0.000 0.500 0.000
0.500 0.000 0.500
0.000 0.000 0.000
0.167 0.830 0.500
0.333 0.330 0.000
0.500 0.500 0.500
0.667 0.670 0.000
0.833 0.170 0.500
```

Principal peaks in the range 2θ = 15–90°, by angle:
hkl 1 2 0, 18.5°, I = 15.8
hkl 1 3 1, 31.4°, I = 38.4
hkl 2 3 0, 31.6°, I = 19.6
hkl 1 4 1, 37.4°, I = 63.7
hkl 0 0 2, 37.5°, I = 82.4
hkl 3 0 1, 38.1°, I = 100.0
hkl 1 5 1, 44.1°, I = 13.4
hkl 2 4 2, 54.1°, I = 21.4
hkl 3 0 3, 68.1°, I = 18.5
hkl 6 0 2, 81.4°, I = 12.7

---

> What is the formula in the second record?

Tm6OsPt3